Record 1
For ZnAg2C4S4N4, the PBE geometry in the Materials Project gives the computed PXRD pattern in this record (a wavelength of 1.5418 Å).

Largest 12 diffraction maxima, in order of rising 2θ, 2θ = 10–90°:
2θ/deg  intensity
17.52  99.7
19.80  100.0
21.35  90.5
21.55  58.0
22.43  50.2
24.90  58.0
25.19  56.6
26.66  64.7
31.60  47.3
31.71  47.0
39.89  56.5
43.26  38.8

Atomic structure:
Cell lengths 10.6796, 10.6796, 8.2981 Å; angles 95.80, 95.80, 43.62 degrees
Fractional coordinates of all 30 atoms:
Zn1 0.1671 0.8329 0.7500
Zn2 0.8329 0.1671 0.2500
Ag1 0.2044 0.3921 0.2357
Ag2 0.3921 0.2044 0.7357
Ag3 0.6079 0.7956 0.2643
Ag4 0.7956 0.6079 0.7643
C1 0.0961 0.1594 0.6678
C2 0.1594 0.0961 0.1678
C3 0.3499 0.4849 0.5416
C4 0.4849 0.3499 0.0416
C5 0.5151 0.6501 0.9584
C6 0.6501 0.5151 0.4584
C7 0.8406 0.9039 0.8322
C8 0.9039 0.8406 0.3322
S1 0.0898 0.3123 0.6316
S2 0.2820 0.4475 0.9768
S3 0.3123 0.0898 0.1316
S4 0.4475 0.2820 0.4768
S5 0.5525 0.7180 0.5232
S6 0.6877 0.9102 0.8684
S7 0.7180 0.5525 0.0232
S8 0.9102 0.6877 0.3684
N1 0.0478 0.1017 0.1875
N2 0.1017 0.0478 0.6875
N3 0.2798 0.6312 0.5872
N4 0.3688 0.7202 0.9128
N5 0.6312 0.2798 0.0872
N6 0.7202 0.3688 0.4128
N7 0.8983 0.9522 0.3125
N8 0.9522 0.8983 0.8125

***

Record 2
For YUO4, the PBE geometry in the Materials Project gives the computed PXRD pattern in this record (a wavelength of 1.5418 Å).

Largest 12 diffraction maxima, in order of rising 2θ, 2θ = 10–90°:
2θ/deg  intensity
16.46  17.3
23.49  14.4
28.81  100.0
33.26  10.7
33.45  21.0
47.90  35.1
48.04  17.5
56.73  15.3
56.99  30.1
59.68  9.2
77.46  12.7
89.55  11.9

Atomic structure:
Cell lengths 3.7880, 3.7880, 5.3870 Å; angles 90.00, 90.00, 90.00 degrees
Fractional coordinates of all 6 atoms:
Y1 0.0000 0.0000 0.0000
U1 0.5000 0.5000 0.5000
O1 0.0000 0.5000 0.2620
O2 0.0000 0.5000 0.7380
O3 0.5000 0.0000 0.2620
O4 0.5000 0.0000 0.7380

***

Record 3
For Ba3NaIr2O9, the PBE geometry in the Materials Project gives the computed PXRD pattern in this record (a wavelength of 1.5418 Å).

Largest 12 diffraction maxima, in order of rising 2θ, 2θ = 10–90°:
2θ/deg  intensity
17.17  15.2
18.22  31.1
25.14  12.1
29.97  100.0
35.30  29.5
39.51  10.0
42.90  16.6
46.97  28.2
53.22  28.2
56.72  23.0
62.29  17.0
86.33  20.8

Atomic structure:
Cell lengths 5.9624, 5.9624, 14.6082 Å; angles 90.00, 90.00, 120.00 degrees
Fractional coordinates of all 30 atoms:
Ba1 0.0000 0.0000 0.2500
Ba2 0.0000 0.0000 0.7500
Ba3 0.3333 0.6667 0.0839
Ba4 0.3333 0.6667 0.4161
Ba5 0.6667 0.3333 0.5839
Ba6 0.6667 0.3333 0.9161
Na1 0.0000 0.0000 0.0000
Na2 0.0000 0.0000 0.5000
Ir1 0.3333 0.6667 0.6625
Ir2 0.3333 0.6667 0.8375
Ir3 0.6667 0.3333 0.1625
Ir4 0.6667 0.3333 0.3375
O1 0.0205 0.5103 0.7500
O2 0.1798 0.3595 0.5892
O3 0.1798 0.3595 0.9108
O4 0.1798 0.8202 0.5892
O5 0.1798 0.8202 0.9108
O6 0.3595 0.1798 0.0892
O7 0.3595 0.1798 0.4108
O8 0.4897 0.5103 0.7500
O9 0.4897 0.9795 0.7500
O10 0.5103 0.0205 0.2500
O11 0.5103 0.4897 0.2500
O12 0.6405 0.8202 0.5892
O13 0.6405 0.8202 0.9108
O14 0.8202 0.1798 0.0892
O15 0.8202 0.1798 0.4108
O16 0.8202 0.6405 0.0892
O17 0.8202 0.6405 0.4108
O18 0.9795 0.4897 0.2500